(1)
Calculated PXRD pattern
Compound: DyErFe2Ge2C
Radiation: Cu Kα (weighted mean of Kα1 and Kα2)
Structure: the GGA-PBE geometry in OQMD

Main lines, in order of falling intensity (15 to 90 degrees two-theta):
hkl	2theta	d (Å)	Rel. int.
1 1 -2	36.32	2.473	100
0 0 2	33.77	2.654	85
3 1 -1	34.02	2.636	63
3 1 0	39.64	2.274	60
3 1 -2	36.55	2.458	49
4 0 -1	35.08	2.558	47
0 2 0	45.81	1.981	47
1 1 0	24.89	3.577	40
4 0 -3	41.39	2.181	39
7 1 -3	65.66	1.422	28

```
data_DyErFe2Ge2C
_space_group_name_H-M_alt 'C 1 m 1'
_space_group_IT_number 8
_cell_length_a 10.683
_cell_length_b 3.961
_cell_length_c 6.808
_cell_angle_alpha 90.00
_cell_angle_beta 128.77
_cell_angle_gamma 90.00
loop_
_space_group_symop_operation_xyz
'x,y,z'
'x,-y,z'
'x+1/2,y+1/2,z'
'x+1/2,-y+1/2,z'
loop_
_atom_site_label
_atom_site_type_symbol
_atom_site_fract_x
_atom_site_fract_y
_atom_site_fract_z
_atom_site_occupancy
Dy1 Dy 0.000 0.000 0.000 1
Er1 Er 0.385 0.500 0.422 1
Fe1 Fe 0.138 0.500 0.799 1
Fe2 Fe 0.246 0.000 0.620 1
Ge1 Ge 0.104 0.500 0.419 1
Ge2 Ge 0.280 0.000 0.002 1
C1 C 0.441 0.000 0.708 1
```

(2)
Calculated PXRD pattern
Compound: PrBPbC2
Radiation: Cu Kα (weighted mean of Kα1 and Kα2)
Structure: the GGA-PBE geometry in OQMD

Main lines, in order of falling intensity (15 to 90 degrees two-theta):
hkl	2theta	d (Å)	Rel. int.
0 2 0	31.94	2.802	100
1 1 1	33.20	2.698	66
1 1 -2	33.56	2.670	63
1 1 -1	23.96	3.713	51
1 1 0	23.80	3.738	47
2 2 -1	45.80	1.981	36
0 0 2	32.72	2.737	29
1 3 1	57.73	1.597	26
0 0 1	16.19	5.474	23
0 2 2	46.38	1.958	22

```
data_PrBPbC2
_space_group_name_H-M_alt 'C 1 m 1'
_space_group_IT_number 8
_cell_length_a 5.604
_cell_length_b 5.603
_cell_length_c 6.113
_cell_angle_alpha 90.00
_cell_angle_beta 116.44
_cell_angle_gamma 90.00
loop_
_space_group_symop_operation_xyz
'x,y,z'
'x,-y,z'
'x+1/2,y+1/2,z'
'x+1/2,-y+1/2,z'
loop_
_atom_site_label
_atom_site_type_symbol
_atom_site_fract_x
_atom_site_fract_y
_atom_site_fract_z
_atom_site_occupancy
Pr1 Pr 0.000 0.000 0.000 1
B1 B 0.349 0.000 0.705 1
Pb1 Pb 0.193 0.500 0.399 1
C1 C 0.212 0.000 0.436 1
C2 C 0.484 0.000 0.968 1
```

(3)
Calculated PXRD pattern
Compound: Ho4CBr4F
Radiation: Cu Kα (weighted mean of Kα1 and Kα2)
Structure: the GGA-PBE geometry in OQMD

Main lines, in order of falling intensity (15 to 90 degrees two-theta):
hkl	2theta	d (Å)	Rel. int.
1 1 -2	34.39	2.608	100
5 1 0	35.83	2.506	53
6 0 0	31.17	2.869	47
5 1 2	46.76	1.943	30
7 1 -2	47.42	1.917	24
3 1 1	32.68	2.740	21
0 2 0	49.89	1.828	19
1 1 -1	27.32	3.264	18
4 0 2	35.18	2.551	15
1 1 0	24.90	3.576	15

```
data_Ho4CBr4F
_space_group_name_H-M_alt 'C 1 2/m 1'
_space_group_IT_number 12
_cell_length_a 17.547
_cell_length_b 3.656
_cell_length_c 7.444
_cell_angle_alpha 90.00
_cell_angle_beta 101.17
_cell_angle_gamma 90.00
loop_
_space_group_symop_operation_xyz
'x,y,z'
'-x,-y,-z'
'-x,y,-z'
'x,-y,z'
'x+1/2,y+1/2,z'
'-x+1/2,-y+1/2,-z'
'-x+1/2,y+1/2,-z'
'x+1/2,-y+1/2,z'
loop_
_atom_site_label
_atom_site_type_symbol
_atom_site_fract_x
_atom_site_fract_y
_atom_site_fract_z
_atom_site_occupancy
Ho1 Ho 0.003 0.000 0.275 1
Ho2 Ho 0.138 0.500 0.574 1
C1 C 0.000 0.500 0.500 1
Br1 Br 0.161 0.000 0.864 1
Br2 Br 0.172 0.000 0.312 1
F1 F 0.000 0.500 0.000 1
```

(4)
Calculated PXRD pattern
Compound: Sc2Cu3Si5
Radiation: Cu Kα (weighted mean of Kα1 and Kα2)
Structure: the GGA-PBE geometry in OQMD

Main lines, in order of falling intensity (15 to 90 degrees two-theta):
hkl	2theta	d (Å)	Rel. int.
2 4 -2	46.85	1.939	100
2 4 0	37.70	2.386	73
4 2 -1	35.72	2.513	50
2 2 1	35.35	2.539	44
6 0 -2	49.56	1.839	42
0 0 2	36.88	2.437	42
4 0 -2	37.36	2.407	36
4 2 1	51.23	1.783	27
6 2 -1	51.69	1.768	24
1 3 0	26.17	3.405	21

```
data_Sc2Cu3Si5
_space_group_name_H-M_alt 'C 1 2/c 1'
_space_group_IT_number 15
_cell_length_a 11.350
_cell_length_b 10.867
_cell_length_c 5.540
_cell_angle_alpha 90.00
_cell_angle_beta 118.37
_cell_angle_gamma 90.00
loop_
_space_group_symop_operation_xyz
'x,y,z'
'-x,-y,-z'
'-x,y,-z+1/2'
'x,-y,z+1/2'
'x+1/2,y+1/2,z'
'-x+1/2,-y+1/2,-z'
'-x+1/2,y+1/2,-z+1/2'
'x+1/2,-y+1/2,z+1/2'
loop_
_atom_site_label
_atom_site_type_symbol
_atom_site_fract_x
_atom_site_fract_y
_atom_site_fract_z
_atom_site_occupancy
Sc1 Sc 0.244 0.124 0.242 1
Cu1 Cu 0.000 0.497 0.750 1
Cu2 Cu 0.130 0.134 0.633 1
Si1 Si 0.000 0.003 0.250 1
Si2 Si 0.000 0.258 0.250 1
Si3 Si 0.000 0.263 0.750 1
Si4 Si 0.148 0.383 0.152 1
```

(5)
Calculated PXRD pattern
Compound: Gd2TaNbGe2
Radiation: Cu Kα (weighted mean of Kα1 and Kα2)
Structure: the GGA-PBE geometry in OQMD

Main lines, in order of falling intensity (15 to 90 degrees two-theta):
hkl	2theta	d (Å)	Rel. int.
1 1 1	33.32	2.689	100
1 1 2	38.78	2.322	85
1 0 2	31.53	2.838	60
2 0 0	44.88	2.020	58
0 0 3	33.72	2.658	34
2 0 3	57.29	1.608	30
2 1 2	55.87	1.646	24
3 1 2	78.65	1.217	21
1 0 3	40.63	2.221	21
3 1 1	75.34	1.261	20

```
data_Gd2TaNbGe2
_space_group_name_H-M_alt 'P -4 m 2'
_space_group_IT_number 115
_cell_length_a 4.040
_cell_length_b 4.040
_cell_length_c 7.975
_cell_angle_alpha 90.00
_cell_angle_beta 90.00
_cell_angle_gamma 90.00
loop_
_space_group_symop_operation_xyz
'x,y,z'
'y,-x,-z'
'-x,-y,z'
'-y,x,-z'
'-x,y,z'
'-y,-x,-z'
'x,-y,z'
'y,x,-z'
loop_
_atom_site_label
_atom_site_type_symbol
_atom_site_fract_x
_atom_site_fract_y
_atom_site_fract_z
_atom_site_occupancy
Gd1 Gd 0.000 0.500 0.148 1
Ta1 Ta 0.000 0.000 0.500 1
Nb1 Nb 0.500 0.500 0.500 1
Ge1 Ge 0.000 0.500 0.740 1
```

(6)
Calculated PXRD pattern
Compound: Dy2Ho2Ni
Radiation: Cu Kα (weighted mean of Kα1 and Kα2)
Structure: the GGA-PBE geometry in OQMD

Main lines, in order of falling intensity (15 to 90 degrees two-theta):
hkl	2theta	d (Å)	Rel. int.
1 1 0	33.70	2.659	100
1 0 3	31.66	2.826	78
2 1 3	59.00	1.566	27
2 0 3	46.91	1.937	26
1 0 4	38.83	2.319	19
3 0 0	60.28	1.535	19
1 0 2	25.48	3.496	12
2 2 0	70.87	1.330	12
3 1 3	79.70	1.203	11
1 0 6	55.05	1.668	10

```
data_Dy2Ho2Ni
_space_group_name_H-M_alt 'P 63/m m c'
_space_group_IT_number 194
_space_group_name_Hall '-P 6c 2c'
_cell_length_a 5.3186
_cell_length_b 5.3186
_cell_length_c 10.7389
_cell_angle_alpha 90.00
_cell_angle_beta 90.00
_cell_angle_gamma 120.00
loop_
_atom_site_label
_atom_site_type_symbol
_atom_site_fract_x
_atom_site_fract_y
_atom_site_fract_z
_atom_site_occupancy
Dy1 Dy 0.3333 0.6667 0.0964 1
Ho1 Ho 0.0000 0.0000 0.0000 1
Ho2 Ho 0.3333 0.6667 0.7500 1
Ni1 Ni 0.0000 0.0000 0.2500 1
```

(7)
Calculated PXRD pattern
Compound: La2AlZn3Ni2
Radiation: Cu Kα (weighted mean of Kα1 and Kα2)
Structure: the GGA-PBE geometry in OQMD

Main lines, in order of falling intensity (15 to 90 degrees two-theta):
hkl	2theta	d (Å)	Rel. int.
1 1 2	33.61	2.666	100
3 1 -1	37.18	2.418	68
4 0 1	38.94	2.313	40
0 2 0	43.63	2.075	34
3 1 0	35.11	2.556	26
4 2 1	59.89	1.544	22
1 1 0	23.30	3.817	20
0 0 2	23.87	3.727	19
1 1 3	43.46	2.082	14
1 3 2	73.69	1.286	14

```
data_La2AlZn3Ni2
_space_group_name_H-M_alt 'C 1 m 1'
_space_group_IT_number 8
_cell_length_a 9.734
_cell_length_b 4.149
_cell_length_c 7.455
_cell_angle_alpha 90.00
_cell_angle_beta 90.18
_cell_angle_gamma 90.00
loop_
_space_group_symop_operation_xyz
'x,y,z'
'x,-y,z'
'x+1/2,y+1/2,z'
'x+1/2,-y+1/2,z'
loop_
_atom_site_label
_atom_site_type_symbol
_atom_site_fract_x
_atom_site_fract_y
_atom_site_fract_z
_atom_site_occupancy
La1 La 0.000 0.000 0.000 1
La2 La 0.114 0.000 0.492 1
Al1 Al 0.396 0.000 0.693 1
Zn1 Zn 0.212 0.500 0.806 1
Zn2 Zn 0.217 0.500 0.196 1
Zn3 Zn 0.398 0.000 0.302 1
Ni1 Ni 0.280 0.000 0.994 1
Ni2 Ni 0.343 0.500 0.509 1
```

(8)
Calculated PXRD pattern
Compound: RbHfAgSeS2
Radiation: Cu Kα (weighted mean of Kα1 and Kα2)
Structure: the GGA-PBE geometry in OQMD

Main lines, in order of falling intensity (15 to 90 degrees two-theta):
hkl	2theta	d (Å)	Rel. int.
2 1 -1	31.00	2.885	100
2 1 0	32.10	2.788	82
1 1 -3	35.07	2.559	60
2 0 -2	23.34	3.811	49
3 1 -5	53.52	1.712	47
2 1 1	35.89	2.502	41
1 1 1	28.55	3.127	40
0 2 0	46.39	1.957	38
2 1 -4	43.36	2.087	36
3 1 -1	39.22	2.297	29

```
data_RbHfAgSeS2
_space_group_name_H-M_alt 'P 1 21/m 1'
_space_group_IT_number 11
_cell_length_a 8.549
_cell_length_b 3.914
_cell_length_c 10.146
_cell_angle_alpha 90.00
_cell_angle_beta 111.75
_cell_angle_gamma 90.00
loop_
_space_group_symop_operation_xyz
'x,y,z'
'-x,-y,-z'
'-x,y+1/2,-z'
'x,-y+1/2,z'
loop_
_atom_site_label
_atom_site_type_symbol
_atom_site_fract_x
_atom_site_fract_y
_atom_site_fract_z
_atom_site_occupancy
Rb1 Rb 0.245 0.250 0.290 1
Hf1 Hf 0.309 0.750 0.837 1
Ag1 Ag 0.074 0.250 0.605 1
Se1 Se 0.453 0.750 0.130 1
S1 S 0.125 0.250 0.864 1
S2 S 0.259 0.750 0.577 1
```